# 1
Structure and computed powder diffractogram of TlTe2I8 (DFT lattice parameters and positions (PBE); Cu Ka).

Largest 8 diffraction maxima, most intense first, 5 to 70 degrees two-theta:
2θ = 24.5°, d 3.633, I 100; 2θ = 34.8°, d 2.582, I 88; 2θ = 35.1°, d 2.556, I 57; 2θ = 17.2°, d 5.163, I 49; 2θ = 17.3°, d 5.113, I 42; 2θ = 45.6°, d 1.988, I 41; 2θ = 19.9°, d 4.471, I 33; 2θ = 28.6°, d 3.116, I 26

Cell and atoms:
abc: 10.3262 10.3262 6.2317
angles: 90.00 90.00 120.00
Fractional positions:
1 Tl 0.0000 0.0000 0.0000
2 Te 0.3333 0.6667 0.2436
3 Te 0.6667 0.3333 0.7564
4 I 0.1713 0.8258 0.2622
5 I 0.1742 0.3454 0.2622
6 I 0.3333 0.6667 0.7517
7 I 0.3454 0.1713 0.7378
8 I 0.6546 0.8287 0.2622
9 I 0.6667 0.3333 0.2483
10 I 0.8258 0.6546 0.7378
11 I 0.8287 0.1742 0.7378



# 2
Structure and computed powder diffractogram of PdO8 (DFT lattice parameters and positions (PBE); Cu Ka).

Largest 8 diffraction maxima, most intense first, 5 to 70 degrees two-theta:
2θ = 21.8°, d 4.068, I 100; 2θ = 15.4°, d 5.753, I 53; 2θ = 37.9°, d 2.373, I 34; 2θ = 30.6°, d 2.921, I 32; 2θ = 43.1°, d 2.099, I 29; 2θ = 44.2°, d 2.050, I 28; 2θ = 31.1°, d 2.876, I 28; 2θ = 36.7°, d 2.450, I 21

Cell and atoms:
abc: 6.2527 6.2527 6.2527
angles: 98.83 98.83 133.86
Fractional positions:
1 Pd 0.0000 0.0000 0.0000
2 O 0.0000 0.4243 0.4243
3 O 0.0000 0.5757 0.5757
4 O 0.3986 0.3986 0.7972
5 O 0.3986 0.6014 0.0000
6 O 0.4243 0.0000 0.4243
7 O 0.5757 0.0000 0.5757
8 O 0.6014 0.3986 0.0000
9 O 0.6014 0.6014 0.2028



# 3
Structure and computed powder diffractogram of Ho5HgTe5 (DFT lattice parameters and positions (PBE); Cu Ka).

Largest 8 diffraction maxima, most intense first, 5 to 70 degrees two-theta:
2θ = 41.7°, d 2.168, I 100; 2θ = 29.1°, d 3.072, I 89; 2θ = 29.2°, d 3.059, I 87; 2θ = 29.3°, d 3.046, I 86; 2θ = 41.8°, d 2.163, I 66; 2θ = 68.4°, d 1.372, I 39; 2θ = 51.6°, d 1.772, I 36; 2θ = 52.0°, d 1.760, I 35

Cell and atoms:
abc: 7.5177 7.5177 8.5906
angles: 106.81 106.81 48.24
Fractional positions:
1 Ho 0.0000 0.0000 0.0000
2 Ho 0.3371 0.3371 0.1660
3 Ho 0.3375 0.3375 0.6699
4 Ho 0.6625 0.6625 0.3301
5 Ho 0.6629 0.6629 0.8340
6 Hg 0.5000 0.5000 0.0000
7 Te 0.1652 0.1652 0.8281
8 Te 0.1704 0.1704 0.3368
9 Te 0.5000 0.5000 0.5000
10 Te 0.8296 0.8296 0.6632
11 Te 0.8348 0.8348 0.1719